The following is a computed powder XRD pattern of Cs2ZrCu3F12. It was derived from a structure optimized by DFT (GGA-PBE), using CuKα.
Kinematic intensities with the Lorentz-polarization factor, no thermal factor.

Structure:
Cell: 7.9357 7.1857 10.4456 Å, 90.00 95.05 90.00°
Fractional positions:
Cs 0.0154 0.2500 0.1478
Cs 0.4481 0.7500 0.6249
Cs 0.5519 0.2500 0.3751
Cs 0.9846 0.7500 0.8522
Zr 0.2971 0.7500 0.2428
Zr 0.7029 0.2500 0.7572
Cu 0.0000 0.0000 0.5000
Cu 0.0000 0.5000 0.5000
Cu 0.2198 0.2500 0.7711
Cu 0.5000 0.0000 0.0000
Cu 0.5000 0.5000 0.0000
Cu 0.7802 0.7500 0.2289
F 0.0170 0.2500 0.4379
F 0.0630 0.7500 0.1448
F 0.1417 0.0476 0.6584
F 0.1417 0.4524 0.6584
F 0.2326 0.5724 0.3864
F 0.2326 0.9276 0.3864
F 0.2932 0.0539 0.8941
F 0.2932 0.4461 0.8941
F 0.3465 0.0184 0.1747
F 0.3465 0.4816 0.1747
F 0.4054 0.7500 0.0376
F 0.4616 0.2500 0.6706
F 0.5384 0.7500 0.3294
F 0.5946 0.2500 0.9624
F 0.6535 0.5184 0.8253
F 0.6535 0.9816 0.8253
F 0.7068 0.5539 0.1059
F 0.7068 0.9461 0.1059
F 0.7674 0.0724 0.6136
F 0.7674 0.4276 0.6136
F 0.8583 0.5476 0.3416
F 0.8583 0.9524 0.3416
F 0.9370 0.2500 0.8552
F 0.9830 0.7500 0.5621

Largest 12 diffraction maxima, most intense first, 10 to 90 degrees two-theta:
| d_spacing | 2θ (°) | I (rel.) | (hkl) |
| --- | --- | --- | --- |
| 3.365 | 26.49 | 100 | 2 1 -1 |
| 3.085 | 28.94 | 95 | 1 2 1 |
| 3.285 | 27.14 | 76 | 1 0 -3 |
| 3.153 | 28.30 | 72 | 1 2 -1 |
| 1.917 | 47.42 | 57 | 2 2 -4 |
| 3.212 | 27.77 | 56 | 2 1 1 |
| 2.956 | 30.23 | 50 | 0 2 2 |
| 3.834 | 23.20 | 49 | 1 1 -2 |
| 3.613 | 24.64 | 47 | 1 1 2 |
| 3.124 | 28.58 | 46 | 0 1 3 |
| 1.971 | 46.04 | 38 | 0 3 3 |
| 1.807 | 50.52 | 36 | 2 2 4 |